# 1
Simulated powder diffraction line list
Compound: AlCdGaO4
Radiation: Cu Ka
Structure: a DFT-relaxed cell (GGA-PBE, OQMD)

Largest 10 diffraction maxima, by intensity, 10° ≤ 2θ ≤ 80°:
two_theta  d [Å]  intensity  hkl
34.9  2.567  100  2 1 1
35.6  2.520  54  1 0 3
62.3  1.490  40  2 2 4
23.4  3.797  35  1 1 1
30.0  2.979  28  1 1 2
56.0  1.641  28  3 2 1
61.5  1.509  21  4 0 0
36.8  2.443  21  2 0 2
42.4  2.134  16  2 2 0
38.7  2.326  14  1 1 3

Cell lengths 6.035, 6.035, 8.321 Å; angles 90.00, 90.00, 90.00 degrees
Space group P4_122 (No. 91)
Asymmetric unit:
Al1 0.000 0.247 0.000 x4
Cd1 0.253 0.500 0.750 x4
Ga1 0.237 0.237 0.375 x4
O1 0.010 0.217 0.769 x8
O2 0.213 0.485 0.026 x8



# 2
Simulated powder diffraction line list
Compound: AlCdGaS4
Radiation: Cu Ka
Structure: a DFT-relaxed cell (GGA-PBE, OQMD)

Largest 10 diffraction maxima, by intensity, 10° ≤ 2θ ≤ 80°:
two_theta  d [Å]  intensity  hkl
14.8  6.006  100  1 0 1
34.3  2.613  89  2 2 0
28.4  3.147  85  2 1 1
49.7  1.835  80  2 2 4
28.7  3.115  47  1 0 3
34.8  2.576  42  0 0 4
49.3  1.848  41  4 0 0
45.1  2.010  29  3 2 1
61.8  1.501  28  4 0 4
37.8  2.382  17  2 1 3

Cell lengths 7.390, 7.390, 10.306 Å; angles 90.00, 90.00, 90.00 degrees
Space group P4_122 (No. 91)
Asymmetric unit:
Al1 0.240 0.240 0.375 x4
Cd1 0.257 0.500 0.750 x4
Ga1 0.000 0.256 0.000 x4
S1 0.012 0.235 0.761 x8
S2 0.234 0.495 0.010 x8



# 3
Simulated powder diffraction line list
Compound: AlCdGaSeS3
Radiation: Cu Ka
Structure: a DFT-relaxed cell (GGA-PBE, OQMD)

Largest 10 diffraction maxima, by intensity, 10° ≤ 2θ ≤ 80°:
two_theta  d [Å]  intensity  hkl
27.9  3.194  100  1 -1 1
27.8  3.214  47  -1 1 1
28.4  3.146  40  1 1 -2
17.9  4.958  38  1 0 -1
47.5  1.914  38  2 0 -3
30.2  2.959  26  1 0 -2
17.8  4.980  25  0 1 -1
44.8  2.023  23  2 -2 0
45.5  1.992  22  2 2 -2
46.7  1.946  21  0 2 1

Cell lengths 5.649, 5.710, 6.530 Å; angles 114.65, 114.86, 90.89 degrees
Space group P1 (No. 1)
Asymmetric unit:
Al1 0.000 0.000 0.000 x1
Cd1 0.508 0.490 0.998 x1
Ga1 0.746 0.234 0.491 x1
Se1 0.100 0.631 0.716 x1
S1 0.368 0.344 0.262 x1
S2 0.644 0.093 0.735 x1
S3 0.898 0.903 0.262 x1



# 4
Simulated powder diffraction line list
Compound: AlCdGaTe3S
Radiation: Cu Ka
Structure: a DFT-relaxed cell (GGA-PBE, OQMD)

Largest 10 diffraction maxima, by intensity, 10° ≤ 2θ ≤ 80°:
two_theta  d [Å]  intensity  hkl
25.8  3.449  100  -1 1 1
25.2  3.536  64  1 -1 1
26.2  3.404  54  1 1 -2
41.1  2.194  27  2 -2 0
42.7  2.119  25  2 0 1
50.0  1.825  23  -3 1 2
42.5  2.127  23  2 2 -2
43.2  2.096  22  0 2 1
42.8  2.113  22  0 2 -3
43.9  2.064  21  2 0 -3

Cell lengths 6.073, 6.154, 7.129 Å; angles 115.20, 113.01, 91.79 degrees
Space group P1 (No. 1)
Asymmetric unit:
Al1 0.000 0.000 0.000 x1
Cd1 0.472 0.474 0.008 x1
Ga1 0.225 0.760 0.527 x1
Te1 0.374 0.914 0.290 x1
Te2 0.616 0.615 0.730 x1
Te3 0.872 0.348 0.289 x1
S1 0.100 0.085 0.757 x1



# 5
Simulated powder diffraction line list
Compound: AlCdGaTeSe3
Radiation: Cu Ka
Structure: a DFT-relaxed cell (GGA-PBE, OQMD)

Largest 10 diffraction maxima, by intensity, 10° ≤ 2θ ≤ 80°:
two_theta  d [Å]  intensity  hkl
26.4  3.375  100  1 -1 1
26.2  3.406  48  -1 1 1
26.9  3.311  40  1 1 -2
44.8  2.025  37  2 0 -3
42.4  2.132  24  2 -2 0
43.4  2.086  22  2 2 -2
43.8  2.066  21  0 2 1
44.4  2.042  20  2 0 1
28.4  3.140  15  0 1 -2
51.0  1.791  14  -3 1 2

Cell lengths 5.934, 5.999, 6.908 Å; angles 114.07, 114.47, 91.26 degrees
Space group P1 (No. 1)
Asymmetric unit:
Al1 0.000 0.000 0.000 x1
Cd1 0.515 0.481 0.996 x1
Ga1 0.744 0.223 0.485 x1
Te1 0.113 0.628 0.708 x1
Se1 0.369 0.352 0.265 x1
Se2 0.631 0.078 0.727 x1
Se3 0.908 0.889 0.265 x1



# 6
Simulated powder diffraction line list
Compound: AlCdGaTe2Se2
Radiation: Cu Ka
Structure: a DFT-relaxed cell (GGA-PBE, OQMD)

Largest 10 diffraction maxima, by intensity, 10° ≤ 2θ ≤ 80°:
two_theta  d [Å]  intensity  hkl
25.8  3.450  100  -1 1 1
25.6  3.475  95  1 1 0
26.3  3.389  86  1 1 -2
26.0  3.422  80  1 -1 1
42.1  2.146  42  2 -2 0
42.2  2.141  42  2 2 -2
42.8  2.112  41  0 2 1
43.2  2.093  40  2 0 1
43.8  2.067  35  2 0 -3
43.9  2.061  34  0 2 -3

Cell lengths 6.044, 6.085, 7.069 Å; angles 114.18, 114.61, 90.12 degrees
Space group P1 (No. 1)
Asymmetric unit:
Al1 0.000 0.000 0.000 x1
Cd1 0.502 0.465 0.002 x1
Ga1 0.770 0.227 0.501 x1
Te1 0.366 0.875 0.282 x1
Te2 0.619 0.619 0.719 x1
Se1 0.108 0.080 0.735 x1
Se2 0.909 0.347 0.266 x1



# 7
Simulated powder diffraction line list
Compound: Gd2Al3Cd3
Radiation: Cu Ka
Structure: a DFT-relaxed cell (GGA-PBE, OQMD)

Largest 10 diffraction maxima, by intensity, 10° ≤ 2θ ≤ 80°:
two_theta  d [Å]  intensity  hkl
37.2  2.418  100  1 0 4
24.3  3.662  26  1 0 2
32.1  2.787  26  0 2 2
37.0  2.428  23  2 0 0
15.9  5.579  21  0 0 2
66.8  1.400  17  3 0 4
70.1  1.342  17  2 2 6
70.3  1.339  16  2 4 0
49.8  1.831  15  2 2 2
57.2  1.610  12  0 2 6

Cell lengths 4.857, 6.428, 11.165 Å; angles 90.00, 90.00, 90.00 degrees
Space group Amm2 (No. 38)
Asymmetric unit:
Gd1 0.000 0.000 0.000 x2
Gd2 0.500 0.000 0.334 x2
Al1 0.000 0.225 0.752 x4
Al2 0.500 0.000 0.826 x2
Cd1 0.000 0.000 0.512 x2
Cd2 0.500 0.241 0.595 x4



# 8
Simulated powder diffraction line list
Compound: Gd2HoAl2Cd4
Radiation: Cu Ka
Structure: a DFT-relaxed cell (GGA-PBE, OQMD)

Largest 10 diffraction maxima, by intensity, 10° ≤ 2θ ≤ 80°:
two_theta  d [Å]  intensity  hkl
34.4  2.606  100  1 4 0
31.3  2.857  85  1 3 1
39.7  2.271  29  2 0 0
37.4  2.403  28  0 5 1
55.6  1.652  18  2 1 3
28.0  3.186  16  0 2 2
55.7  1.649  16  2 5 1
37.3  2.411  15  0 1 3
67.4  1.389  15  1 8 2
68.6  1.367  13  3 4 0

Cell lengths 4.542, 12.698, 7.366 Å; angles 90.00, 90.00, 90.00 degrees
Space group Amm2 (No. 38)
Asymmetric unit:
Gd1 0.000 0.214 0.000 x4
Ho1 0.000 0.000 0.357 x2
Al1 0.500 0.166 0.286 x4
Cd1 0.000 0.000 0.782 x2
Cd2 0.500 0.000 0.038 x2
Cd3 0.500 0.126 0.659 x4